Starting from the GGA-PBE geometry in Alexandria, the powder diffractogram of Li4Mg5Sn2 was computed for λ = 1.5418 Å (Cu Kα).
No peak broadening, texture or thermal motion is included.

Cell and atoms:
a b c (Å): 5.7881 5.7881 9.6104
angles (deg): 115.63 115.63 63.30
Atoms (fractional coordinates):
Li 0.0784 0.0784 0.3810
Li 0.3735 0.3735 0.0552
Li 0.6265 0.6265 0.9448
Li 0.9216 0.9216 0.6190
Mg 0.0000 0.0000 0.0000
Mg 0.0279 0.5290 0.2741
Mg 0.4710 0.9721 0.7259
Mg 0.5290 0.0279 0.2741
Mg 0.9721 0.4710 0.7259
Sn 0.4101 0.4101 0.6022
Sn 0.5899 0.5899 0.3978

The 12 most intense peaks (10 to 90 degrees two-theta), sorted by position:
2θ (°), I/Imax
10.7, 100.0
18.0, 84.5
23.6, 72.2
28.2, 22.3
31.4, 55.3
32.1, 24.0
36.4, 60.3
37.3, 21.1
38.1, 15.2
41.2, 19.0
42.1, 17.3
48.8, 20.7


Starting from the GGA-PBE geometry in Alexandria, the powder diffractogram of Li8Mg3Sn4 was computed for λ = 1.5418 Å (Cu Kα).
No peak broadening, texture or thermal motion is included.

Cell and atoms:
a b c (Å): 9.3799 9.3799 9.3799
angles (deg): 60.00 60.00 60.00
Atoms (fractional coordinates):
Li 0.0517 0.6494 0.6494
Li 0.1297 0.1297 0.1297
Li 0.1297 0.1297 0.6109
Li 0.1297 0.6109 0.1297
Li 0.3506 0.3506 0.3506
Li 0.3506 0.3506 0.9483
Li 0.3506 0.9483 0.3506
Li 0.3891 0.8703 0.8703
Li 0.6109 0.1297 0.1297
Li 0.6494 0.0517 0.6494
Li 0.6494 0.6494 0.0517
Li 0.6494 0.6494 0.6494
Li 0.8703 0.3891 0.8703
Li 0.8703 0.8703 0.3891
Li 0.8703 0.8703 0.8703
Li 0.9483 0.3506 0.3506
Mg 0.2618 0.2618 0.7382
Mg 0.2618 0.7382 0.2618
Mg 0.2618 0.7382 0.7382
Mg 0.7382 0.2618 0.2618
Mg 0.7382 0.2618 0.7382
Mg 0.7382 0.7382 0.2618
Sn 0.0000 0.0000 0.0000
Sn 0.0000 0.0000 0.5000
Sn 0.0000 0.5000 0.0000
Sn 0.0000 0.5000 0.5000
Sn 0.5000 0.0000 0.0000
Sn 0.5000 0.0000 0.5000
Sn 0.5000 0.5000 0.0000
Sn 0.5000 0.5000 0.5000

The 12 most intense peaks (10 to 90 degrees two-theta), sorted by position:
2θ (°), I/Imax
23.2, 100.0
26.9, 87.8
38.4, 89.2
45.3, 54.9
47.5, 25.9
55.4, 15.2
60.9, 23.4
62.6, 35.1
69.4, 31.0
74.3, 18.8
86.9, 20.8
88.4, 18.7